Diffraction record for TbFe12. The powder diffraction line list is calculated, not measured: it uses a structure optimized by DFT (GGA-PBE) and Cu Kα.

Cell and atoms:
```
TbFe12
1.0
-4.225 4.225 2.339
4.225 -4.225 2.339
4.225 4.225 -2.339
Tb Fe
1 12
Direct
0.000 0.000 0.000
0.000 0.000 0.500
0.000 0.358 0.358
0.000 0.500 0.000
0.000 0.642 0.642
0.272 0.500 0.772
0.358 0.000 0.358
0.500 0.000 0.000
0.500 0.272 0.772
0.500 0.500 0.500
0.500 0.728 0.228
0.642 0.000 0.642
0.728 0.500 0.228
```

Largest 10 diffraction maxima, in order of falling intensity, 10 to 90 degrees two-theta:
| d (Å) | Position (°2θ) | intensity |
| --- | --- | --- |
| 2.095 | 43.2 | 100 |
| 2.047 | 44.3 | 70 |
| 2.113 | 42.8 | 62 |
| 2.413 | 37.3 | 46 |
| 2.940 | 30.4 | 40 |
| 1.842 | 49.5 | 24 |
| 1.216 | 78.7 | 20 |
| 1.298 | 72.8 | 19 |
| 1.207 | 79.4 | 18 |
| 2.339 | 38.5 | 17 |



Diffraction record for MnCo4S8. The powder diffraction line list is calculated, not measured: it uses a structure optimized by DFT (GGA-PBE) and Cu Kα.

Cell and atoms:
```
MnCo4S8
1.0
5.030 -3.364 0.000
5.030 3.364 0.000
-4.958 0.000 5.803
Mn Co S
1 4 8
Direct
0.000 0.000 0.000
0.265 0.735 0.500
0.269 0.269 0.009
0.731 0.731 0.991
0.735 0.265 0.500
0.023 0.023 0.326
0.026 0.538 0.832
0.462 0.462 0.665
0.462 0.974 0.168
0.538 0.026 0.832
0.538 0.538 0.335
0.974 0.462 0.168
0.977 0.977 0.674
```

Largest 10 diffraction maxima, in order of falling intensity, 10 to 90 degrees two-theta:
| d (Å) | Position (°2θ) | intensity |
| --- | --- | --- |
| 5.030 | 17.6 | 100 |
| 2.512 | 35.7 | 89 |
| 1.910 | 47.6 | 56 |
| 1.897 | 48.0 | 50 |
| 1.677 | 54.7 | 46 |
| 2.527 | 35.5 | 45 |
| 2.911 | 30.7 | 31 |
| 1.682 | 54.6 | 26 |
| 1.457 | 63.9 | 18 |
| 2.900 | 30.8 | 16 |



Diffraction record for PmGaSnRh. The powder diffraction line list is calculated, not measured: it uses a structure optimized by DFT (GGA-PBE) and Cu Kα.

Cell and atoms:
```
PmGaSnRh
1.0
0.000 3.458 3.458
3.458 0.000 3.458
3.458 3.458 0.000
Pm Ga Sn Rh
1 1 1 1
Direct
0.000 0.000 0.000
0.250 0.250 0.250
0.500 0.500 0.500
0.750 0.750 0.750
```

Largest 10 diffraction maxima, in order of falling intensity, 10 to 90 degrees two-theta:
| d (Å) | Position (°2θ) | intensity |
| --- | --- | --- |
| 2.445 | 36.8 | 100 |
| 1.412 | 66.2 | 36 |
| 1.729 | 53.0 | 17 |
| 1.093 | 89.7 | 17 |
| 1.223 | 78.2 | 11 |
| 3.458 | 25.8 | 5 |
| 1.546 | 59.8 | 2 |
| 3.993 | 22.3 | 2 |
| 1.996 | 45.4 | 2 |
| 1.153 | 84.0 | 1 |



Diffraction record for SeOF3. The powder diffraction line list is calculated, not measured: it uses a structure optimized by DFT (GGA-PBE) and Cu Kα.

Cell and atoms:
```
SeOF3
1.0
5.758 0.000 0.000
0.000 5.758 0.000
0.000 0.000 9.717
Se O F
4 4 12
Direct
0.078 0.400 0.000
0.400 0.922 0.750
0.600 0.078 0.250
0.922 0.600 0.500
0.082 0.618 0.104
0.382 0.082 0.354
0.618 0.918 0.854
0.918 0.382 0.604
0.071 0.827 0.622
0.173 0.071 0.872
0.178 0.580 0.404
0.250 0.523 0.858
0.420 0.178 0.654
0.477 0.250 0.108
0.523 0.750 0.608
0.580 0.822 0.154
0.750 0.477 0.358
0.822 0.420 0.904
0.827 0.929 0.372
0.929 0.173 0.122
```

Largest 10 diffraction maxima, in order of falling intensity, 10 to 90 degrees two-theta:
| d (Å) | Position (°2θ) | intensity |
| --- | --- | --- |
| 3.713 | 24.0 | 100 |
| 4.072 | 21.8 | 53 |
| 4.954 | 17.9 | 50 |
| 3.755 | 23.7 | 34 |
| 2.016 | 45.0 | 30 |
| 2.760 | 32.4 | 23 |
| 1.790 | 51.0 | 17 |
| 1.767 | 51.7 | 15 |
| 2.477 | 36.3 | 13 |
| 2.275 | 39.6 | 12 |



Diffraction record for Ca2MgNbN4. The powder diffraction line list is calculated, not measured: it uses a structure optimized by DFT (GGA-PBE) and Cu Kα.

Cell and atoms:
```
Ca2MgNbN4
1.0
7.347 0.000 0.000
0.000 6.477 0.000
0.000 0.000 5.450
Ca Mg Nb N
4 2 2 8
Direct
0.248 0.176 0.000
0.252 0.824 0.500
0.748 0.824 0.500
0.752 0.176 0.000
0.000 0.342 0.516
0.500 0.658 0.016
0.000 0.657 0.020
0.500 0.343 0.520
0.000 0.374 0.897
0.000 0.639 0.374
0.234 0.805 0.951
0.266 0.195 0.451
0.500 0.361 0.874
0.500 0.626 0.397
0.734 0.195 0.451
0.766 0.805 0.951
```

Largest 10 diffraction maxima, in order of falling intensity, 10 to 90 degrees two-theta:
| d (Å) | Position (°2θ) | intensity |
| --- | --- | --- |
| 2.756 | 32.5 | 100 |
| 3.195 | 27.9 | 69 |
| 2.725 | 32.9 | 65 |
| 2.784 | 32.2 | 55 |
| 4.377 | 20.3 | 47 |
| 1.861 | 48.9 | 44 |
| 4.858 | 18.3 | 40 |
| 1.537 | 60.2 | 37 |
| 3.238 | 27.5 | 30 |
| 1.579 | 58.4 | 29 |



Diffraction record for LaNb2O7. The powder diffraction line list is calculated, not measured: it uses a structure optimized by DFT (GGA-PBE) and Cu Kα.

Cell and atoms:
```
LaNb2O7
1.0
3.961 0.000 0.000
0.000 3.961 0.000
0.000 0.000 10.118
La Nb O
1 2 7
Direct
0.000 0.000 0.000
0.500 0.500 0.222
0.500 0.500 0.778
0.000 0.500 0.176
0.000 0.500 0.824
0.500 0.000 0.176
0.500 0.000 0.824
0.500 0.500 0.000
0.500 0.500 0.397
0.500 0.500 0.603
```

Largest 10 diffraction maxima, in order of falling intensity, 10 to 90 degrees two-theta:
| d (Å) | Position (°2θ) | intensity |
| --- | --- | --- |
| 3.119 | 28.6 | 100 |
| 2.801 | 32.0 | 43 |
| 1.672 | 54.9 | 33 |
| 1.980 | 45.8 | 31 |
| 2.568 | 34.9 | 30 |
| 3.688 | 24.1 | 23 |
| 1.877 | 48.5 | 23 |
| 1.640 | 56.1 | 15 |
| 1.415 | 66.0 | 14 |
| 3.961 | 22.4 | 14 |



Diffraction record for La8Pd3CI4. The powder diffraction line list is calculated, not measured: it uses a structure optimized by DFT (GGA-PBE) and Cu Kα.

Cell and atoms:
```
La8Pd3CI4
1.0
7.369 -4.244 0.000
7.369 4.244 0.000
-4.925 0.000 8.162
La Pd C I
8 3 1 4
Direct
0.212 0.212 0.685
0.212 0.763 0.685
0.237 0.788 0.315
0.269 0.269 0.308
0.731 0.731 0.692
0.763 0.212 0.685
0.788 0.237 0.315
0.788 0.788 0.315
0.000 0.500 0.500
0.500 0.000 0.500
0.500 0.500 0.500
0.000 0.000 0.500
0.000 0.000 0.000
0.000 0.500 0.000
0.500 0.000 0.000
0.500 0.500 0.000
```

Largest 10 diffraction maxima, in order of falling intensity, 10 to 90 degrees two-theta:
| d (Å) | Position (°2θ) | intensity |
| --- | --- | --- |
| 3.154 | 28.3 | 100 |
| 2.125 | 42.6 | 35 |
| 2.353 | 38.2 | 27 |
| 2.942 | 30.4 | 19 |
| 1.676 | 54.8 | 11 |
| 2.720 | 32.9 | 11 |
| 1.761 | 51.9 | 11 |
| 2.535 | 35.4 | 9 |
| 1.357 | 69.2 | 8 |
| 1.577 | 58.5 | 8 |



Diffraction record for Tb3ErZn2. The powder diffraction line list is calculated, not measured: it uses a structure optimized by DFT (GGA-PBE) and Cu Kα.

Cell and atoms:
```
Tb3ErZn2
1.0
5.042 0.000 0.000
0.000 9.095 0.000
0.000 0.000 6.721
Tb Er Zn
6 2 4
Direct
0.000 0.055 0.000
0.000 0.329 0.343
0.000 0.671 0.843
0.000 0.945 0.500
0.500 0.176 0.683
0.500 0.824 0.183
0.500 0.445 0.029
0.500 0.555 0.529
0.000 0.350 0.790
0.000 0.650 0.290
0.500 0.152 0.238
0.500 0.848 0.738
```

Largest 10 diffraction maxima, in order of falling intensity, 10 to 90 degrees two-theta:
| d (Å) | Position (°2θ) | intensity |
| --- | --- | --- |
| 2.673 | 33.5 | 100 |
| 2.598 | 34.5 | 83 |
| 3.018 | 29.6 | 64 |
| 2.521 | 35.6 | 62 |
| 2.796 | 32.0 | 37 |
| 2.703 | 33.1 | 36 |
| 1.521 | 60.9 | 27 |
| 2.763 | 32.4 | 24 |
| 1.844 | 49.4 | 24 |
| 1.470 | 63.3 | 18 |